CeZr3Mn8: calculated X-ray powder pattern (copper Kα), based on a cell relaxed with PBE.
No peak broadening, texture or thermal motion is included.

Cell and atoms:
```
CeZr3Mn8
1.0
5.086 0.000 0.000
-2.543 4.405 0.000
0.000 0.000 8.081
Ce Zr Mn
1 3 8
Cartesian
0.000 0.000 0.000
0.000 0.000 3.080
2.543 1.468 4.092
2.543 1.468 7.118
-1.269 2.204 1.626
0.000 1.473 5.545
-1.268 3.669 5.545
0.000 2.937 3.616
0.000 2.937 7.616
1.269 2.204 1.626
0.000 4.401 1.626
1.268 3.669 5.545
```

The 6 most intense peaks (5 to 70 degrees two-theta), low angle first:
2theta, intensity, h k l
35.29, 51.9, 1 1 0
39.20, 80.0, 0 1 3
41.98, 100.0, 1 1 2
42.54, 62.9, 2 0 1
65.96, 32.9, 1 2 3
67.92, 22.2, 3 0 2

=====

La2Ti3O9: calculated X-ray powder pattern (copper Kα), based on a cell relaxed with PBE.
No peak broadening, texture or thermal motion is included.

Cell and atoms:
```
La2Ti3O9
1.0
7.010 0.000 0.000
-3.505 6.071 0.000
0.000 0.000 10.697
La Ti O
4 6 18
Cartesian
0.000 4.047 0.435
0.000 4.047 4.914
3.505 2.024 5.784
3.505 2.024 10.262
-0.546 1.854 8.023
-1.626 5.617 8.023
1.332 1.400 2.674
2.173 4.671 8.023
5.131 0.454 2.674
4.051 4.217 2.674
-1.095 2.669 6.507
-1.095 2.669 9.539
-0.478 1.714 2.674
-1.782 5.628 2.674
1.245 1.271 8.023
-0.647 5.685 6.507
-0.647 5.685 9.539
1.764 2.282 1.158
1.764 2.282 4.190
1.741 3.789 6.507
1.741 3.789 9.539
4.152 0.386 1.158
4.152 0.386 4.190
2.260 4.800 2.674
5.287 0.443 8.023
3.983 4.357 8.023
4.600 3.402 1.158
4.600 3.402 4.190
```

The 6 most intense peaks (5 to 70 degrees two-theta), low angle first:
2theta, intensity, h k l
14.59, 40.0, 1 0 0
22.15, 74.6, 1 0 2
25.41, 23.7, 1 1 0
29.04, 31.0, 1 0 3
30.49, 100.0, 1 1 2
47.10, 30.8, 2 1 3

=====

ThBi: calculated X-ray powder pattern (copper Kα), based on a cell relaxed with PBE.
No peak broadening, texture or thermal motion is included.

Cell and atoms:
```
ThBi
1.0
3.945 0.000 0.000
0.000 3.945 0.000
0.000 0.000 3.945
Th Bi
1 1
Cartesian
0.000 0.000 0.000
1.973 1.973 1.973
```

The 4 most intense peaks (5 to 70 degrees two-theta), low angle first:
2theta, intensity, h k l
32.08, 100.0, 1 1 0
46.01, 18.9, 2 0 0
57.19, 40.2, 2 1 1
67.10, 12.6, 2 2 0